No. 1
Structure and theoretical powder X-ray diffraction pattern of SnBrF (DFT lattice parameters and positions (GGA-PBE); Cu Kα (weighted mean of Kα1 and Kα2)).
Intensities are scaled so that the largest is 100.

Crystal structure
```
data_SnBrF
_chemical_formula_sum 'Sn2 Br2 F2'
_cell_length_a 4.106
_cell_length_b 4.106
_cell_length_c 7.898
_cell_angle_alpha 90.00
_cell_angle_beta 90.00
_cell_angle_gamma 90.00
_symmetry_space_group_name_H-M 'P 1'
_symmetry_Int_Tables_number 1
_symmetry_space_group_name_Hall 'P 1'
loop_
_atom_site_label
_atom_site_type_symbol
_atom_site_fract_x
_atom_site_fract_y
_atom_site_fract_z
Sn1 Sn 0.250 0.250 0.188
Sn2 Sn 0.750 0.750 0.812
Br1 Br 0.250 0.250 0.653
Br2 Br 0.750 0.750 0.347
F1 F 0.250 0.750 0.000
F2 F 0.750 0.250 0.000
```

Principal peaks in the range 2θ from 10° to 90°, most intense first:
2θ/deg  I (rel.)
31.4  100
30.8  67
55.2  41
38.5  40
44.1  37
51.3  30

No. 2
Structure and theoretical powder X-ray diffraction pattern of Sr2Br2F (DFT lattice parameters and positions (GGA-PBE); Cu Kα (weighted mean of Kα1 and Kα2)).
Intensities are scaled so that the largest is 100.

Crystal structure
```
data_Sr2Br2F
_chemical_formula_sum 'Sr2 Br2 F1'
_cell_length_a 5.862
_cell_length_b 5.862
_cell_length_c 13.813
_cell_angle_alpha 90.00
_cell_angle_beta 90.00
_cell_angle_gamma 90.00
_symmetry_space_group_name_H-M 'P 1'
_symmetry_Int_Tables_number 1
_symmetry_space_group_name_Hall 'P 1'
loop_
_atom_site_label
_atom_site_type_symbol
_atom_site_fract_x
_atom_site_fract_y
_atom_site_fract_z
Sr1 Sr 0.000 0.000 0.167
Sr2 Sr 0.000 0.000 0.833
Br1 Br 0.000 0.000 0.364
Br2 Br 0.000 0.000 0.636
F1 F 0.000 0.000 0.000
```

Principal peaks in the range 2θ from 10° to 90°, most intense first:
2θ/deg  I (rel.)
15.1  100
21.4  44
34.2  26
30.5  18
30.0  14
33.8  11

No. 3
Structure and theoretical powder X-ray diffraction pattern of FeBr3 (DFT lattice parameters and positions (GGA-PBE); Cu Kα (weighted mean of Kα1 and Kα2)).
Intensities are scaled so that the largest is 100.

Crystal structure
```
data_FeBr3
_chemical_formula_sum 'Fe2 Br6'
_cell_length_a 7.383
_cell_length_b 7.383
_cell_length_c 7.383
_cell_angle_alpha 50.65
_cell_angle_beta 50.65
_cell_angle_gamma 50.65
_symmetry_space_group_name_H-M 'P 1'
_symmetry_Int_Tables_number 1
_symmetry_space_group_name_Hall 'P 1'
loop_
_atom_site_label
_atom_site_type_symbol
_atom_site_fract_x
_atom_site_fract_y
_atom_site_fract_z
Fe1 Fe 0.167 0.167 0.167
Fe2 Fe 0.833 0.833 0.833
Br1 Br 0.059 0.429 0.798
Br2 Br 0.202 0.941 0.571
Br3 Br 0.429 0.798 0.059
Br4 Br 0.571 0.202 0.941
Br5 Br 0.798 0.059 0.429
Br6 Br 0.941 0.571 0.202
```

Principal peaks in the range 2θ from 10° to 90°, most intense first:
2θ/deg  I (rel.)
31.6  100
40.1  45
13.8  41
50.0  27
51.6  26
16.9  20

No. 4
Structure and theoretical powder X-ray diffraction pattern of InFeBr3 (DFT lattice parameters and positions (GGA-PBE); Cu Kα (weighted mean of Kα1 and Kα2)).
Intensities are scaled so that the largest is 100.

Crystal structure
```
data_InFeBr3
_chemical_formula_sum 'In4 Fe4 Br12'
_cell_length_a 9.208
_cell_length_b 3.722
_cell_length_c 15.285
_cell_angle_alpha 90.00
_cell_angle_beta 90.00
_cell_angle_gamma 90.00
_symmetry_space_group_name_H-M 'P 1'
_symmetry_Int_Tables_number 1
_symmetry_space_group_name_Hall 'P 1'
loop_
_atom_site_label
_atom_site_type_symbol
_atom_site_fract_x
_atom_site_fract_y
_atom_site_fract_z
In1 In 0.052 0.250 0.173
In2 In 0.448 0.750 0.673
In3 In 0.552 0.250 0.327
In4 In 0.948 0.750 0.827
Fe1 Fe 0.149 0.750 0.451
Fe2 Fe 0.351 0.250 0.951
Fe3 Fe 0.649 0.750 0.049
Fe4 Fe 0.851 0.250 0.549
Br1 Br 0.016 0.750 0.591
Br2 Br 0.193 0.750 0.997
Br3 Br 0.236 0.250 0.804
Br4 Br 0.264 0.750 0.304
Br5 Br 0.307 0.250 0.497
Br6 Br 0.484 0.250 0.091
Br7 Br 0.516 0.750 0.909
Br8 Br 0.693 0.750 0.503
Br9 Br 0.736 0.250 0.696
Br10 Br 0.764 0.750 0.196
Br11 Br 0.807 0.250 0.003
Br12 Br 0.984 0.250 0.409
```

Principal peaks in the range 2θ from 10° to 90°, most intense first:
2θ/deg  I (rel.)
31.5  100
31.3  81
33.1  51
30.8  45
30.4  38
19.9  35

No. 5
Structure and theoretical powder X-ray diffraction pattern of KFeBr3 (DFT lattice parameters and positions (GGA-PBE); Cu Kα (weighted mean of Kα1 and Kα2)).
Intensities are scaled so that the largest is 100.

Crystal structure
```
data_KFeBr3
_chemical_formula_sum 'K4 Fe4 Br12'
_cell_length_a 9.526
_cell_length_b 4.066
_cell_length_c 15.077
_cell_angle_alpha 90.00
_cell_angle_beta 90.00
_cell_angle_gamma 90.00
_symmetry_space_group_name_H-M 'P 1'
_symmetry_Int_Tables_number 1
_symmetry_space_group_name_Hall 'P 1'
loop_
_atom_site_label
_atom_site_type_symbol
_atom_site_fract_x
_atom_site_fract_y
_atom_site_fract_z
K1 K 0.049 0.250 0.175
K2 K 0.451 0.750 0.675
K3 K 0.549 0.250 0.325
K4 K 0.951 0.750 0.825
Fe1 Fe 0.162 0.750 0.450
Fe2 Fe 0.338 0.250 0.950
Fe3 Fe 0.662 0.750 0.050
Fe4 Fe 0.838 0.250 0.550
Br1 Br 0.019 0.750 0.597
Br2 Br 0.181 0.750 0.007
Br3 Br 0.236 0.250 0.796
Br4 Br 0.264 0.750 0.296
Br5 Br 0.319 0.250 0.507
Br6 Br 0.481 0.250 0.097
Br7 Br 0.519 0.750 0.903
Br8 Br 0.681 0.750 0.493
Br9 Br 0.736 0.250 0.704
Br10 Br 0.764 0.750 0.204
Br11 Br 0.819 0.250 0.993
Br12 Br 0.981 0.250 0.403
```

Principal peaks in the range 2θ from 10° to 90°, most intense first:
2θ/deg  I (rel.)
29.5  100
31.3  61
29.8  54
30.2  47
31.1  36
11.7  35

No. 6
Structure and theoretical powder X-ray diffraction pattern of LiFeBr4 (DFT lattice parameters and positions (GGA-PBE); Cu Kα (weighted mean of Kα1 and Kα2)).
Intensities are scaled so that the largest is 100.

Crystal structure
```
data_LiFeBr4
_chemical_formula_sum 'Li4 Fe4 Br16'
_cell_length_a 7.534
_cell_length_b 7.329
_cell_length_c 13.846
_cell_angle_alpha 90.00
_cell_angle_beta 92.44
_cell_angle_gamma 90.00
_symmetry_space_group_name_H-M 'P 1'
_symmetry_Int_Tables_number 1
_symmetry_space_group_name_Hall 'P 1'
loop_
_atom_site_label
_atom_site_type_symbol
_atom_site_fract_x
_atom_site_fract_y
_atom_site_fract_z
Li1 Li 0.152 0.019 0.371
Li2 Li 0.152 0.481 0.871
Li3 Li 0.848 0.519 0.129
Li4 Li 0.848 0.981 0.629
Fe1 Fe 0.291 0.174 0.600
Fe2 Fe 0.291 0.326 0.100
Fe3 Fe 0.709 0.674 0.900
Fe4 Fe 0.709 0.826 0.400
Br1 Br 0.068 0.182 0.190
Br2 Br 0.068 0.318 0.690
Br3 Br 0.185 0.628 0.070
Br4 Br 0.185 0.872 0.570
Br5 Br 0.306 0.187 0.949
Br6 Br 0.306 0.313 0.449
Br7 Br 0.435 0.676 0.815
Br8 Br 0.435 0.824 0.315
Br9 Br 0.565 0.176 0.685
Br10 Br 0.565 0.324 0.185
Br11 Br 0.694 0.687 0.551
Br12 Br 0.694 0.813 0.051
Br13 Br 0.815 0.128 0.430
Br14 Br 0.815 0.372 0.930
Br15 Br 0.932 0.682 0.310
Br16 Br 0.932 0.818 0.810
```

Principal peaks in the range 2θ from 10° to 90°, most intense first:
2θ/deg  I (rel.)
28.5  100
28.0  98
29.2  92
27.5  87
25.3  72
43.4  64

No. 7
Structure and theoretical powder X-ray diffraction pattern of FeBr2N2 (DFT lattice parameters and positions (GGA-PBE); Cu Kα (weighted mean of Kα1 and Kα2)).
Intensities are scaled so that the largest is 100.

Crystal structure
```
data_FeBr2N2
_chemical_formula_sum 'Fe2 Br4 N4'
_cell_length_a 4.079
_cell_length_b 11.990
_cell_length_c 3.528
_cell_angle_alpha 90.00
_cell_angle_beta 90.00
_cell_angle_gamma 90.00
_symmetry_space_group_name_H-M 'P 1'
_symmetry_Int_Tables_number 1
_symmetry_space_group_name_Hall 'P 1'
loop_
_atom_site_label
_atom_site_type_symbol
_atom_site_fract_x
_atom_site_fract_y
_atom_site_fract_z
Fe1 Fe 0.000 0.000 0.000
Fe2 Fe 0.500 0.500 0.000
Br1 Br 0.233 0.388 0.500
Br2 Br 0.267 0.888 0.500
Br3 Br 0.733 0.112 0.500
Br4 Br 0.767 0.612 0.500
N1 N 0.222 0.606 0.000
N2 N 0.278 0.106 0.000
N3 N 0.722 0.894 0.000
N4 N 0.778 0.394 0.000
```

Principal peaks in the range 2θ from 10° to 90°, most intense first:
2θ/deg  I (rel.)
36.9  100
14.8  64
26.4  62
39.4  43
51.8  36
54.4  23

No. 8
Structure and theoretical powder X-ray diffraction pattern of FeBr4N (DFT lattice parameters and positions (GGA-PBE); Cu Kα (weighted mean of Kα1 and Kα2)).
Intensities are scaled so that the largest is 100.

Crystal structure
```
data_FeBr4N
_chemical_formula_sum 'Fe4 Br16 N4'
_cell_length_a 10.739
_cell_length_b 7.707
_cell_length_c 13.111
_cell_angle_alpha 90.00
_cell_angle_beta 125.42
_cell_angle_gamma 90.00
_symmetry_space_group_name_H-M 'P 1'
_symmetry_Int_Tables_number 1
_symmetry_space_group_name_Hall 'P 1'
loop_
_atom_site_label
_atom_site_type_symbol
_atom_site_fract_x
_atom_site_fract_y
_atom_site_fract_z
Fe1 Fe 0.201 0.180 0.418
Fe2 Fe 0.201 0.820 0.918
Fe3 Fe 0.799 0.180 0.082
Fe4 Fe 0.799 0.820 0.582
Br1 Br 0.009 0.295 0.098
Br2 Br 0.009 0.705 0.598
Br3 Br 0.182 0.131 0.863
Br4 Br 0.182 0.869 0.363
Br5 Br 0.324 0.169 0.653
Br6 Br 0.324 0.831 0.153
Br7 Br 0.393 0.286 0.408
Br8 Br 0.393 0.714 0.908
Br9 Br 0.607 0.286 0.092
Br10 Br 0.607 0.714 0.592
Br11 Br 0.676 0.169 0.847
Br12 Br 0.676 0.831 0.347
Br13 Br 0.818 0.131 0.637
Br14 Br 0.818 0.869 0.137
Br15 Br 0.991 0.295 0.402
Br16 Br 0.991 0.705 0.902
N1 N 0.000 0.258 0.750
N2 N 0.000 0.742 0.250
N3 N 0.500 0.028 0.750
N4 N 0.500 0.972 0.250
```

Principal peaks in the range 2θ from 10° to 90°, most intense first:
2θ/deg  I (rel.)
24.1  100
14.4  93
23.1  75
28.6  68
11.5  54
27.6  50

No. 9
Structure and theoretical powder X-ray diffraction pattern of FeS4Br4N5 (DFT lattice parameters and positions (GGA-PBE); Cu Kα (weighted mean of Kα1 and Kα2)).
Intensities are scaled so that the largest is 100.

Crystal structure
```
data_FeS4Br4N5
_chemical_formula_sum 'Fe2 S8 Br8 N10'
_cell_length_a 9.708
_cell_length_b 9.708
_cell_length_c 12.578
_cell_angle_alpha 90.28
_cell_angle_beta 90.28
_cell_angle_gamma 140.02
_symmetry_space_group_name_H-M 'P 1'
_symmetry_Int_Tables_number 1
_symmetry_space_group_name_Hall 'P 1'
loop_
_atom_site_label
_atom_site_type_symbol
_atom_site_fract_x
_atom_site_fract_y
_atom_site_fract_z
Fe1 Fe 0.201 0.799 0.500
Fe2 Fe 0.799 0.201 0.000
S1 S 0.138 0.275 0.290
S2 S 0.275 0.138 0.790
S3 S 0.375 0.489 0.803
S4 S 0.385 0.449 0.472
S5 S 0.449 0.385 0.972
S6 S 0.489 0.375 0.303
S7 S 0.535 0.690 0.293
S8 S 0.690 0.535 0.793
Br1 Br 0.110 0.642 0.335
Br2 Br 0.140 0.550 0.007
Br3 Br 0.161 0.608 0.631
Br4 Br 0.550 0.140 0.507
Br5 Br 0.608 0.161 0.131
Br6 Br 0.642 0.110 0.835
Br7 Br 0.815 0.980 0.028
Br8 Br 0.980 0.815 0.528
N1 N 0.029 0.803 0.110
N2 N 0.146 0.284 0.420
N3 N 0.212 0.247 0.756
N4 N 0.247 0.212 0.256
N5 N 0.284 0.146 0.920
N6 N 0.527 0.682 0.423
N7 N 0.611 0.628 0.759
N8 N 0.628 0.611 0.259
N9 N 0.682 0.527 0.923
N10 N 0.803 0.029 0.610
```

Principal peaks in the range 2θ from 10° to 90°, most intense first:
2θ/deg  I (rel.)
29.3  100
29.0  78
15.8  72
12.0  55
26.9  55
15.9  53

No. 10
Structure and theoretical powder X-ray diffraction pattern of FeS4Br4N5 (DFT lattice parameters and positions (GGA-PBE); Cu Kα (weighted mean of Kα1 and Kα2)).
Intensities are scaled so that the largest is 100.

Crystal structure
```
data_FeS4Br4N5
_chemical_formula_sum 'Fe2 S8 Br8 N10'
_cell_length_a 10.052
_cell_length_b 10.052
_cell_length_c 12.050
_cell_angle_alpha 90.99
_cell_angle_beta 90.99
_cell_angle_gamma 138.40
_symmetry_space_group_name_H-M 'P 1'
_symmetry_Int_Tables_number 1
_symmetry_space_group_name_Hall 'P 1'
loop_
_atom_site_label
_atom_site_type_symbol
_atom_site_fract_x
_atom_site_fract_y
_atom_site_fract_z
Fe1 Fe 0.184 0.816 0.500
Fe2 Fe 0.816 0.184 0.000
S1 S 0.148 0.282 0.291
S2 S 0.282 0.148 0.791
S3 S 0.384 0.463 0.484
S4 S 0.385 0.489 0.810
S5 S 0.463 0.384 0.984
S6 S 0.489 0.385 0.310
S7 S 0.525 0.684 0.297
S8 S 0.684 0.525 0.797
Br1 Br 0.072 0.654 0.290
Br2 Br 0.105 0.523 0.989
Br3 Br 0.111 0.577 0.601
Br4 Br 0.523 0.105 0.489
Br5 Br 0.577 0.111 0.101
Br6 Br 0.654 0.072 0.790
Br7 Br 0.845 0.981 0.025
Br8 Br 0.981 0.845 0.525
N1 N 0.048 0.763 0.188
N2 N 0.160 0.304 0.426
N3 N 0.227 0.260 0.759
N4 N 0.260 0.227 0.259
N5 N 0.304 0.160 0.926
N6 N 0.513 0.679 0.432
N7 N 0.604 0.614 0.765
N8 N 0.614 0.604 0.265
N9 N 0.679 0.513 0.932
N10 N 0.763 0.048 0.688
```

Principal peaks in the range 2θ from 10° to 90°, most intense first:
2θ/deg  I (rel.)
29.7  100
20.3  99
26.4  74
14.9  73
18.9  59
28.8  59

No. 11
Structure and theoretical powder X-ray diffraction pattern of RbFeBr4 (DFT lattice parameters and positions (GGA-PBE); Cu Kα (weighted mean of Kα1 and Kα2)).
Intensities are scaled so that the largest is 100.

Crystal structure
```
data_RbFeBr4
_chemical_formula_sum 'Rb4 Fe4 Br16'
_cell_length_a 12.191
_cell_length_b 7.743
_cell_length_c 10.129
_cell_angle_alpha 90.00
_cell_angle_beta 90.00
_cell_angle_gamma 90.00
_symmetry_space_group_name_H-M 'P 1'
_symmetry_Int_Tables_number 1
_symmetry_space_group_name_Hall 'P 1'
loop_
_atom_site_label
_atom_site_type_symbol
_atom_site_fract_x
_atom_site_fract_y
_atom_site_fract_z
Rb1 Rb 0.184 0.250 0.160
Rb2 Rb 0.316 0.750 0.660
Rb3 Rb 0.684 0.250 0.340
Rb4 Rb 0.816 0.750 0.840
Fe1 Fe 0.063 0.250 0.692
Fe2 Fe 0.437 0.750 0.192
Fe3 Fe 0.563 0.250 0.808
Fe4 Fe 0.937 0.750 0.308
Br1 Br 0.082 0.002 0.826
Br2 Br 0.082 0.498 0.826
Br3 Br 0.112 0.750 0.404
Br4 Br 0.202 0.250 0.531
Br5 Br 0.298 0.750 0.031
Br6 Br 0.388 0.250 0.904
Br7 Br 0.418 0.502 0.326
Br8 Br 0.418 0.998 0.326
Br9 Br 0.582 0.002 0.674
Br10 Br 0.582 0.498 0.674
Br11 Br 0.612 0.750 0.096
Br12 Br 0.702 0.250 0.969
Br13 Br 0.798 0.750 0.469
Br14 Br 0.888 0.250 0.596
Br15 Br 0.918 0.502 0.174
Br16 Br 0.918 0.998 0.174
```

Principal peaks in the range 2θ from 10° to 90°, most intense first:
2θ/deg  I (rel.)
22.2  100
28.7  90
25.7  85
28.2  65
30.6  62
51.9  54